Structure and simulated powder diffraction line list of Pm3HoEr3 (a GGA-PBE-relaxed structure; CuKα).
No peak broadening, texture or thermal motion is included.

The 8 most intense peaks (10 to 90 degrees two-theta), in order of rising 2θ:
| 2theta | intensity | hkl |
| --- | --- | --- |
| 29.54 | 21 | 1 1 3 |
| 31.24 | 39 | 0 0 15 |
| 31.50 | 100 | 1 1 6 |
| 34.55 | 60 | 2 -1 9 |
| 38.46 | 19 | 2 -1 12 |
| 51.14 | 30 | 3 0 0 |
| 53.73 | 27 | 1 1 21 |
| 61.16 | 34 | 3 0 15 |

```
data_Pm3HoEr3
_chemical_formula_sum 'Pm18 Ho6 Er18'
_space_group_name_H-M_alt 'R -3'
_space_group_IT_number 148
_space_group_name_Hall '-R 3'
_cell_length_a 6.1878
_cell_length_b 6.1878
_cell_length_c 42.9418
_cell_angle_alpha 90.00
_cell_angle_beta 90.00
_cell_angle_gamma 120.00
loop_
_atom_site_label
_atom_site_fract_x
_atom_site_fract_y
_atom_site_fract_z
Pm1 0.0002 0.3310 0.1310
Ho1 0.0000 0.0000 0.3333
Er1 0.0002 0.3332 0.2686
```



Structure and simulated powder diffraction line list of Pm5HoEr5 (a GGA-PBE-relaxed structure; CuKα).
No peak broadening, texture or thermal motion is included.

The 8 most intense peaks (10 to 90 degrees two-theta), in order of rising 2θ:
| 2theta | intensity | hkl |
| --- | --- | --- |
| 27.40 | 22 | 4 0 -2 |
| 29.58 | 19 | 5 1 0 |
| 30.07 | 75 | 0 2 0 |
| 30.60 | 32 | 6 0 0 |
| 33.40 | 100 | 1 1 2 |
| 43.44 | 25 | 6 2 0 |
| 55.56 | 24 | 1 3 2 |
| 61.41 | 16 | 4 2 -4 |

```
data_Pm5HoEr5
_chemical_formula_sum 'Pm10 Ho2 Er10'
_space_group_name_H-M_alt 'C 1 2/m 1'
_space_group_IT_number 12
_space_group_name_Hall '-C 2y'
_cell_length_a 18.8600
_cell_length_b 5.9419
_cell_length_c 7.0127
_cell_angle_alpha 90.00
_cell_angle_beta 111.65
_cell_angle_gamma 90.00
loop_
_atom_site_label
_atom_site_fract_x
_atom_site_fract_y
_atom_site_fract_z
Pm1 0.0000 0.0000 0.0000
Pm2 0.1764 0.5000 0.4217
Pm3 0.1765 0.5000 0.9323
Ho1 0.0000 0.5000 0.0000
Er1 0.0000 0.5000 0.5000
Er2 0.1221 0.0000 0.6236
Er3 0.1686 0.0000 0.1698
```



Structure and simulated powder diffraction line list of Pm3Ho3Er8 (a GGA-PBE-relaxed structure; CuKα).
No peak broadening, texture or thermal motion is included.

The 8 most intense peaks (10 to 90 degrees two-theta), in order of rising 2θ:
| 2theta | intensity | hkl |
| --- | --- | --- |
| 29.21 | 8 | 1 2 3 |
| 29.95 | 21 | 1 1 4 |
| 30.79 | 19 | 0 3 3 |
| 31.99 | 100 | 2 0 0 |
| 34.03 | 37 | 1 0 5 |
| 44.95 | 14 | 2 3 3 |
| 56.96 | 13 | 3 3 2 |
| 62.81 | 10 | 1 6 5 |

```
data_Pm3Ho3Er8
_chemical_formula_sum 'Pm6 Ho6 Er16'
_space_group_name_H-M_alt 'I m m m'
_space_group_IT_number 71
_space_group_name_Hall '-I 2 2'
_cell_length_a 5.6050
_cell_length_b 10.7296
_cell_length_c 14.9216
_cell_angle_alpha 90.00
_cell_angle_beta 90.00
_cell_angle_gamma 90.00
loop_
_atom_site_label
_atom_site_fract_x
_atom_site_fract_y
_atom_site_fract_z
Pm1 0.0000 0.0000 0.0000
Pm2 0.0000 0.5000 0.3167
Ho1 0.0000 0.0000 0.5000
Ho2 0.0000 0.2962 0.5000
Er1 0.0000 0.1605 0.2795
Er2 0.0000 0.3420 0.1028
```



Structure and simulated powder diffraction line list of Pm3Ho2Er3 (a GGA-PBE-relaxed structure; CuKα).
No peak broadening, texture or thermal motion is included.

The 8 most intense peaks (10 to 90 degrees two-theta), in order of rising 2θ:
| 2theta | intensity | hkl |
| --- | --- | --- |
| 30.17 | 60 | 0 2 0 |
| 32.41 | 100 | 3 1 1 |
| 43.20 | 23 | 2 2 -2 |
| 55.02 | 45 | 3 3 1 |
| 59.17 | 18 | 8 2 0 |
| 67.85 | 12 | 6 2 2 |
| 71.18 | 10 | 4 2 -4 |
| 88.21 | 12 | 3 5 1 |

```
data_Pm3Ho2Er3
_chemical_formula_sum 'Pm6 Ho4 Er6'
_space_group_name_H-M_alt 'C 1 2/m 1'
_space_group_IT_number 12
_space_group_name_Hall '-C 2y'
_cell_length_a 15.8475
_cell_length_b 5.9226
_cell_length_c 5.9247
_cell_angle_alpha 90.00
_cell_angle_beta 111.94
_cell_angle_gamma 90.00
loop_
_atom_site_label
_atom_site_fract_x
_atom_site_fract_y
_atom_site_fract_z
Pm1 0.0000 0.0000 0.0000
Pm2 0.1278 0.0000 0.6282
Ho1 0.2485 0.5000 0.7480
Er1 0.0000 0.5000 0.5000
Er2 0.1247 0.5000 0.1244
```